For Y2HoNiPt2Pb3, a crystal structure in OQMD, relaxed with PBE gives the simulated X-ray powder pattern in this record (a wavelength of 1.5418 Å).
Peak positions follow from Bragg's law for the DFT cell and can differ from measured ones.

Cell and atoms:
```
data_Y2HoNiPt2Pb3
_chemical_formula_sum 'Y2 Ho1 Ni1 Pt2 Pb3'
_cell_length_a 3.785
_cell_length_b 7.809
_cell_length_c 7.809
_cell_angle_alpha 119.82
_cell_angle_beta 90.00
_cell_angle_gamma 90.00
_symmetry_space_group_name_H-M 'P 1'
_symmetry_Int_Tables_number 1
loop_
_symmetry_equiv_pos_as_xyz
'x,y,z'
loop_
_atom_site_label
_atom_site_fract_x
_atom_site_fract_y
_atom_site_fract_z
Y1 0.000 0.201 0.799
Y2 0.000 0.799 0.201
Ho1 0.000 0.395 0.395
Ni1 0.000 0.798 0.798
Pt1 0.500 0.134 0.465
Pt2 0.500 0.465 0.134
Pb1 0.500 0.054 0.054
Pb2 0.500 0.544 0.799
Pb3 0.500 0.799 0.544
```

The 10 most intense peaks (2θ from 15° to 90°), in order of rising 2θ:
d_spacing, Position (°2θ), Rel. int.
3.785, 23.51, 26
2.719, 32.95, 100
2.560, 35.05, 50
2.523, 35.59, 70
2.258, 39.92, 29
2.120, 42.66, 48
1.892, 48.08, 23
1.521, 60.89, 30
1.450, 64.24, 22
1.436, 64.96, 23

For Dy2TmIn3Ag2Au, a crystal structure in OQMD, relaxed with PBE gives the simulated X-ray powder pattern in this record (a wavelength of 1.5418 Å).
Peak positions follow from Bragg's law for the DFT cell and can differ from measured ones.

Cell and atoms:
```
data_Dy2TmIn3Ag2Au
_chemical_formula_sum 'Dy2 Tm1 In3 Ag2 Au1'
_cell_length_a 3.908
_cell_length_b 7.826
_cell_length_c 7.826
_cell_angle_alpha 119.89
_cell_angle_beta 90.00
_cell_angle_gamma 90.00
_symmetry_space_group_name_H-M 'P 1'
_symmetry_Int_Tables_number 1
loop_
_symmetry_equiv_pos_as_xyz
'x,y,z'
loop_
_atom_site_label
_atom_site_fract_x
_atom_site_fract_y
_atom_site_fract_z
Dy1 0.000 0.199 0.801
Dy2 0.000 0.801 0.199
Tm1 0.000 0.596 0.596
In1 0.500 0.199 0.466
In2 0.500 0.466 0.199
In3 0.500 0.933 0.933
Ag1 0.500 0.533 0.864
Ag2 0.500 0.864 0.533
Au1 0.000 0.201 0.201
```

The 10 most intense peaks (2θ from 15° to 90°), in order of rising 2θ:
d_spacing, Position (°2θ), Rel. int.
3.389, 26.30, 13
2.766, 32.37, 75
2.562, 35.03, 100
2.260, 39.88, 44
2.143, 42.16, 27
1.954, 46.48, 19
1.695, 54.11, 10
1.554, 59.49, 13
1.478, 62.87, 24
1.446, 64.44, 20

For Nb2CoSi2Ir, a crystal structure in OQMD, relaxed with PBE gives the simulated X-ray powder pattern in this record (a wavelength of 1.5418 Å).
Peak positions follow from Bragg's law for the DFT cell and can differ from measured ones.

Cell and atoms:
```
data_Nb2CoSi2Ir
_chemical_formula_sum 'Nb8 Co4 Si8 Ir4'
_cell_length_a 7.111
_cell_length_b 4.093
_cell_length_c 13.594
_cell_angle_alpha 90.00
_cell_angle_beta 99.80
_cell_angle_gamma 90.00
_symmetry_space_group_name_H-M 'P 1'
_symmetry_Int_Tables_number 1
loop_
_symmetry_equiv_pos_as_xyz
'x,y,z'
loop_
_atom_site_label
_atom_site_fract_x
_atom_site_fract_y
_atom_site_fract_z
Nb1 0.000 0.000 0.000
Nb2 0.011 0.500 0.492
Nb3 0.232 0.000 0.734
Nb4 0.247 0.500 0.240
Nb5 0.479 0.000 0.481
Nb6 0.500 0.500 0.999
Nb7 0.742 0.000 0.233
Nb8 0.760 0.500 0.737
Co1 0.060 0.500 0.674
Co2 0.061 0.000 0.181
Co3 0.306 0.500 0.423
Co4 0.558 0.500 0.179
Si1 0.122 0.000 0.360
Si2 0.122 0.500 0.861
Si3 0.367 0.500 0.611
Si4 0.371 0.000 0.122
Si5 0.615 0.500 0.361
Si6 0.620 0.000 0.863
Si7 0.874 0.000 0.612
Si8 0.875 0.500 0.122
Ir1 0.309 0.000 0.928
Ir2 0.557 0.000 0.673
Ir3 0.808 0.000 0.425
Ir4 0.811 0.500 0.930
```

The 10 most intense peaks (2θ from 15° to 90°), in order of rising 2θ:
d_spacing, Position (°2θ), Rel. int.
3.348, 26.63, 100
2.052, 44.15, 77
2.047, 44.25, 39
1.752, 52.21, 15
1.746, 52.39, 31
1.447, 64.36, 12
1.331, 70.79, 12
1.185, 81.14, 12
1.183, 81.36, 25
1.114, 87.54, 7

For KCuWS3, a crystal structure in OQMD, relaxed with PBE gives the simulated X-ray powder pattern in this record (a wavelength of 1.5418 Å).
Peak positions follow from Bragg's law for the DFT cell and can differ from measured ones.

Cell and atoms:
```
data_KCuWS3
_chemical_formula_sum 'K2 Cu2 W2 S6'
_cell_length_a 7.450
_cell_length_b 7.450
_cell_length_c 9.386
_cell_angle_alpha 90.00
_cell_angle_beta 90.00
_cell_angle_gamma 152.96
_symmetry_space_group_name_H-M 'P 1'
_symmetry_Int_Tables_number 1
loop_
_symmetry_equiv_pos_as_xyz
'x,y,z'
loop_
_atom_site_label
_atom_site_fract_x
_atom_site_fract_y
_atom_site_fract_z
K1 0.249 0.751 0.750
K2 0.751 0.249 0.250
Cu1 0.037 0.963 0.250
Cu2 0.963 0.037 0.750
W1 0.500 0.500 0.000
W2 0.500 0.500 0.500
S1 0.118 0.882 0.045
S2 0.118 0.882 0.455
S3 0.434 0.566 0.250
S4 0.566 0.434 0.750
S5 0.882 0.118 0.545
S6 0.882 0.118 0.955
```

The 10 most intense peaks (2θ from 15° to 90°), in order of rising 2θ:
d_spacing, Position (°2θ), Rel. int.
3.938, 22.58, 52
3.622, 24.58, 39
2.825, 31.67, 36
2.746, 32.61, 65
2.705, 33.12, 35
2.420, 37.15, 100
2.346, 38.36, 41
2.230, 40.44, 51
2.147, 42.09, 25
2.012, 45.05, 61

For Hf2Al3C5, a crystal structure in OQMD, relaxed with PBE gives the simulated X-ray powder pattern in this record (a wavelength of 1.5418 Å).
Peak positions follow from Bragg's law for the DFT cell and can differ from measured ones.

Cell and atoms:
```
data_Hf2Al3C5
_chemical_formula_sum 'Hf4 Al6 C10'
_cell_length_a 3.222
_cell_length_b 3.222
_cell_length_c 24.178
_cell_angle_alpha 90.00
_cell_angle_beta 90.00
_cell_angle_gamma 120.00
_symmetry_space_group_name_H-M 'P 1'
_symmetry_Int_Tables_number 1
loop_
_symmetry_equiv_pos_as_xyz
'x,y,z'
loop_
_atom_site_label
_atom_site_fract_x
_atom_site_fract_y
_atom_site_fract_z
Hf1 0.333 0.667 0.056
Hf2 0.333 0.667 0.444
Hf3 0.667 0.333 0.556
Hf4 0.667 0.333 0.944
Al1 0.000 0.000 0.154
Al2 0.000 0.000 0.346
Al3 0.000 0.000 0.654
Al4 0.000 0.000 0.846
Al5 0.333 0.667 0.750
Al6 0.667 0.333 0.250
C1 0.000 0.000 0.000
C2 0.000 0.000 0.500
C3 0.333 0.667 0.216
C4 0.333 0.667 0.284
C5 0.333 0.667 0.613
C6 0.333 0.667 0.887
C7 0.667 0.333 0.113
C8 0.667 0.333 0.387
C9 0.667 0.333 0.716
C10 0.667 0.333 0.784
```

The 10 most intense peaks (2θ from 15° to 90°), in order of rising 2θ:
d_spacing, Position (°2θ), Rel. int.
4.030, 22.06, 17
3.022, 29.56, 22
2.719, 32.94, 19
2.637, 34.00, 80
2.417, 37.20, 100
2.294, 39.27, 24
2.171, 41.60, 35
1.611, 57.17, 30
1.548, 59.75, 28
1.341, 70.20, 33

For TbCoSn, a crystal structure in OQMD, relaxed with PBE gives the simulated X-ray powder pattern in this record (a wavelength of 1.5418 Å).
Peak positions follow from Bragg's law for the DFT cell and can differ from measured ones.

Cell and atoms:
```
data_TbCoSn
_chemical_formula_sum 'Tb2 Co2 Sn2'
_cell_length_a 4.526
_cell_length_b 4.526
_cell_length_c 6.912
_cell_angle_alpha 90.00
_cell_angle_beta 90.00
_cell_angle_gamma 120.00
_symmetry_space_group_name_H-M 'P 1'
_symmetry_Int_Tables_number 1
loop_
_symmetry_equiv_pos_as_xyz
'x,y,z'
loop_
_atom_site_label
_atom_site_fract_x
_atom_site_fract_y
_atom_site_fract_z
Tb1 0.000 0.000 0.000
Tb2 0.000 0.000 0.500
Co1 0.333 0.667 0.264
Co2 0.667 0.333 0.764
Sn1 0.333 0.667 0.746
Sn2 0.667 0.333 0.246
```

The 10 most intense peaks (2θ from 15° to 90°), in order of rising 2θ:
d_spacing, Position (°2θ), Rel. int.
3.920, 22.68, 10
3.410, 26.13, 9
2.592, 34.60, 100
2.263, 39.83, 64
1.728, 52.99, 9
1.705, 53.77, 28
1.373, 68.29, 25
1.362, 68.96, 27
1.307, 72.31, 11
1.132, 85.88, 7